Diffraction record for CsZr5S8. The powder XRD pattern is computed, not measured: it uses DFT lattice parameters and positions (GGA-PBE) and Cu Kα X-rays.
Kinematic intensities with the Lorentz-polarization factor, no thermal factor.

Structural model:
Lattice parameters (Å, degrees): 9.619 9.619 9.600 104.33 104.33 21.86
Fractional positions:
Cs  0.000  0.000  0.000
Zr  0.167  0.167  0.494
Zr  0.208  0.208  0.848
Zr  0.500  0.500  0.500
Zr  0.792  0.792  0.152
Zr  0.833  0.833  0.506
S  0.077  0.077  0.663
S  0.258  0.258  0.327
S  0.338  0.338  0.006
S  0.411  0.411  0.667
S  0.589  0.589  0.333
S  0.662  0.662  0.994
S  0.742  0.742  0.673
S  0.923  0.923  0.337

Peak list (6 most intense, 10° ≤ 2θ ≤ 90°, in order of rising 2θ)
19.1 deg, d 4.645, I = 637
19.4 deg, d 4.579, I = 664
31.3 deg, d 2.856, I = 769
38.1 deg, d 2.359, I = 1000
39.3 deg, d 2.295, I = 561
50.2 deg, d 1.818, I = 681



Diffraction record for Cs2ZrS4. The powder XRD pattern is computed, not measured: it uses DFT lattice parameters and positions (GGA-PBE) and Cu Kα X-rays.
Kinematic intensities with the Lorentz-polarization factor, no thermal factor.

Structural model:
Lattice parameters (Å, degrees): 8.364 14.788 3.937 90.00 90.00 90.00
Fractional positions:
Cs  0.061  0.166  0.000
Cs  0.439  0.666  0.000
Cs  0.561  0.334  0.000
Cs  0.939  0.834  0.000
Zr  0.000  0.500  0.500
Zr  0.500  0.000  0.500
S  0.095  0.660  0.500
S  0.196  0.462  0.000
S  0.304  0.962  0.000
S  0.405  0.160  0.500
S  0.595  0.840  0.500
S  0.696  0.038  0.000
S  0.804  0.538  0.000
S  0.905  0.340  0.500

Peak list (6 most intense, 10° ≤ 2θ ≤ 90°, in order of rising 2θ)
20.9 deg, d 4.247, I = 1000
21.2 deg, d 4.182, I = 354
25.7 deg, d 3.465, I = 812
31.0 deg, d 2.887, I = 414
31.8 deg, d 2.814, I = 382
33.5 deg, d 2.673, I = 341



Diffraction record for CsSb4. The powder XRD pattern is computed, not measured: it uses DFT lattice parameters and positions (GGA-PBE) and Cu Kα X-rays.
Kinematic intensities with the Lorentz-polarization factor, no thermal factor.

Structural model:
Lattice parameters (Å, degrees): 6.063 6.063 6.063 90.00 90.00 90.00
Fractional positions:
Cs  0.000  0.000  0.000
Sb  0.000  0.000  0.500
Sb  0.000  0.500  0.000
Sb  0.500  0.000  0.000
Sb  0.500  0.500  0.500

Peak list (6 most intense, 10° ≤ 2θ ≤ 90°, in order of rising 2θ)
25.4 deg, d 3.500, I = 645
29.5 deg, d 3.031, I = 1000
42.2 deg, d 2.143, I = 747
49.9 deg, d 1.828, I = 304
52.3 deg, d 1.750, I = 263
69.3 deg, d 1.356, I = 335



Diffraction record for Cs2Sb3. The powder XRD pattern is computed, not measured: it uses DFT lattice parameters and positions (GGA-PBE) and Cu Kα X-rays.
Kinematic intensities with the Lorentz-polarization factor, no thermal factor.

Structural model:
Lattice parameters (Å, degrees): 7.500 7.500 9.363 90.00 90.00 126.99
Fractional positions:
Cs  0.165  0.835  0.895
Cs  0.335  0.665  0.395
Cs  0.665  0.335  0.605
Cs  0.835  0.165  0.105
Sb  0.000  0.000  0.500
Sb  0.171  0.329  0.750
Sb  0.329  0.171  0.250
Sb  0.500  0.500  0.000
Sb  0.671  0.829  0.750
Sb  0.829  0.671  0.250

Peak list (6 most intense, 10° ≤ 2θ ≤ 90°, in order of rising 2θ)
24.1 deg, d 3.689, I = 525
25.8 deg, d 3.457, I = 1000
28.2 deg, d 3.159, I = 474
31.4 deg, d 2.853, I = 666
31.6 deg, d 2.830, I = 468
32.9 deg, d 2.724, I = 541



Diffraction record for Cs2Sc2Sb2Se. The powder XRD pattern is computed, not measured: it uses DFT lattice parameters and positions (GGA-PBE) and Cu Kα X-rays.
Kinematic intensities with the Lorentz-polarization factor, no thermal factor.

Structural model:
Lattice parameters (Å, degrees): 10.422 10.422 10.422 151.59 151.59 40.62
Fractional positions:
Cs  0.181  0.181  0.000
Cs  0.819  0.819  0.000
Sc  0.000  0.500  0.500
Sc  0.500  0.000  0.500
Sb  0.404  0.404  0.000
Sb  0.596  0.596  0.000
Se  0.000  0.000  0.000

Peak list (6 most intense, 10° ≤ 2θ ≤ 90°, in order of rising 2θ)
24.6 deg, d 3.617, I = 627
28.7 deg, d 3.106, I = 1000
30.8 deg, d 2.907, I = 167
35.1 deg, d 2.558, I = 465
46.0 deg, d 1.974, I = 541
50.5 deg, d 1.809, I = 161



Diffraction record for Cs4SbSe4. The powder XRD pattern is computed, not measured: it uses DFT lattice parameters and positions (GGA-PBE) and Cu Kα X-rays.
Kinematic intensities with the Lorentz-polarization factor, no thermal factor.

Structural model:
Lattice parameters (Å, degrees): 8.423 8.423 8.423 100.76 100.76 128.81
Fractional positions:
Cs  0.089  0.703  0.792
Cs  0.297  0.089  0.386
Cs  0.703  0.911  0.614
Cs  0.911  0.297  0.208
Sb  0.500  0.500  0.000
Se  0.260  0.421  0.681
Se  0.421  0.740  0.160
Se  0.579  0.260  0.840
Se  0.740  0.579  0.319

Peak list (6 most intense, 10° ≤ 2θ ≤ 90°, in order of rising 2θ)
22.2 deg, d 4.009, I = 547
24.5 deg, d 3.639, I = 691
26.2 deg, d 3.397, I = 1000
36.2 deg, d 2.483, I = 848
43.9 deg, d 2.061, I = 365
45.2 deg, d 2.005, I = 312



Diffraction record for CsSnSbSe3. The powder XRD pattern is computed, not measured: it uses DFT lattice parameters and positions (GGA-PBE) and Cu Kα X-rays.
Kinematic intensities with the Lorentz-polarization factor, no thermal factor.

Structural model:
Lattice parameters (Å, degrees): 9.310 4.218 11.811 90.00 111.64 90.00
Fractional positions:
Cs  0.226  0.250  0.267
Cs  0.774  0.750  0.733
Sn  0.141  0.250  0.563
Sn  0.859  0.750  0.437
Sb  0.370  0.750  0.853
Sb  0.630  0.250  0.147
Se  0.134  0.250  0.789
Se  0.347  0.750  0.588
Se  0.399  0.750  0.094
Se  0.601  0.250  0.906
Se  0.653  0.250  0.412
Se  0.866  0.750  0.211

Peak list (6 most intense, 10° ≤ 2θ ≤ 90°, in order of rising 2θ)
10.4 deg, d 8.486, I = 617
26.1 deg, d 3.418, I = 303
29.6 deg, d 3.020, I = 1000
30.3 deg, d 2.948, I = 487
42.9 deg, d 2.109, I = 260
43.7 deg, d 2.070, I = 401



Diffraction record for Cs2YSbSe4. The powder XRD pattern is computed, not measured: it uses DFT lattice parameters and positions (GGA-PBE) and Cu Kα X-rays.
Kinematic intensities with the Lorentz-polarization factor, no thermal factor.

Structural model:
Lattice parameters (Å, degrees): 9.097 9.097 9.097 120.95 119.04 90.01
Fractional positions:
Cs  0.000  0.000  0.000
Cs  0.500  0.000  0.000
Cs  0.500  0.000  0.500
Cs  0.500  0.500  0.500
Y  0.000  0.000  0.500
Y  0.000  0.500  0.000
Sb  0.000  0.500  0.500
Sb  0.500  0.500  0.000
Se  0.187  0.730  0.457
Se  0.227  0.270  0.957
Se  0.228  0.266  0.538
Se  0.228  0.689  0.962
Se  0.772  0.311  0.038
Se  0.772  0.734  0.462
Se  0.773  0.730  0.043
Se  0.813  0.270  0.543

Peak list (6 most intense, 10° ≤ 2θ ≤ 90°, in order of rising 2θ)
27.7 deg, d 3.216, I = 1000
39.0 deg, d 2.307, I = 117
39.6 deg, d 2.274, I = 455
40.2 deg, d 2.241, I = 112
48.6 deg, d 1.875, I = 112
64.8 deg, d 1.438, I = 155



What did the sixth record say?
Diffraction record for Cs4SbSe4. The powder XRD pattern is computed, not measured: it uses DFT lattice parameters and positions (GGA-PBE) and Cu Kα X-rays.
Kinematic intensities with the Lorentz-polarization factor, no thermal factor.

Structural model:
Lattice parameters (Å, degrees): 8.423 8.423 8.423 100.76 100.76 128.81
Fractional positions:
Cs  0.089  0.703  0.792
Cs  0.297  0.089  0.386
Cs  0.703  0.911  0.614
Cs  0.911  0.297  0.208
Sb  0.500  0.500  0.000
Se  0.260  0.421  0.681
Se  0.421  0.740  0.160
Se  0.579  0.260  0.840
Se  0.740  0.579  0.319

Peak list (6 most intense, 10° ≤ 2θ ≤ 90°, in order of rising 2θ)
22.2 deg, d 4.009, I = 547
24.5 deg, d 3.639, I = 691
26.2 deg, d 3.397, I = 1000
36.2 deg, d 2.483, I = 848
43.9 deg, d 2.061, I = 365
45.2 deg, d 2.005, I = 312